This entry pairs a crystal structure of Na4N2Cl3 with its theoretical X-ray diffraction stick pattern. Radiation: λ = 1.5418 Å (Cu Kα). Structure: DFT lattice parameters and positions (GGA-PBE).

Peak list (10 most intense, 2θ = 15–90°, most intense first)
28.4 deg, intensity 100.0, hkl 2 2 -1
32.7 deg, intensity 94.0, hkl 0 2 2
38.3 deg, intensity 83.7, hkl 1 1 3
36.6 deg, intensity 73.6, hkl 5 1 -1
41.4 deg, intensity 73.1, hkl 5 1 -2
23.0 deg, intensity 55.9, hkl 3 1 0
35.6 deg, intensity 52.2, hkl 5 1 0
49.1 deg, intensity 47.0, hkl 1 1 -4
34.1 deg, intensity 45.4, hkl 3 1 2
42.2 deg, intensity 40.7, hkl 3 3 1

Atomic structure:
Cell: 13.3731 7.8692 7.6597 Å, 90.00 94.57 90.00°
Space group C2/c (No. 15)
Inequivalent atoms, fractional coordinates:
Na1 0.0428 0.2486 0.0361 x8
Na2 0.2266 0.4307 0.3179 x8
N1 0.2222 0.3092 0.9958 x8
Cl1 0.0000 0.4606 0.7500 x4
Cl2 0.1334 0.1175 0.3805 x8

***

This entry pairs a crystal structure of DyTm8In5 with its theoretical X-ray diffraction stick pattern. Radiation: λ = 1.5418 Å (Cu Kα). Structure: DFT lattice parameters and positions (GGA-PBE).

Peak list (10 most intense, 2θ = 15–90°, most intense first)
30.3 deg, intensity 100.0, hkl 3 0 1
30.7 deg, intensity 50.4, hkl 1 0 3
36.1 deg, intensity 44.3, hkl 3 2 1
36.2 deg, intensity 41.2, hkl 3 1 2
36.4 deg, intensity 32.9, hkl 2 1 3
47.9 deg, intensity 18.8, hkl 2 4 2
61.3 deg, intensity 18.8, hkl 1 6 1
49.9 deg, intensity 12.1, hkl 3 4 1
48.3 deg, intensity 11.1, hkl 2 2 4
50.3 deg, intensity 10.8, hkl 3 1 4

Atomic structure:
Cell: 9.3271 9.3271 9.1891 Å, 90.00 90.00 90.00°
Space group I-4 (No. 82)
Inequivalent atoms, fractional coordinates:
Dy1 0.0000 0.0000 0.0000 x2
Tm1 0.0729 0.3432 0.9577 x8
Tm2 0.0813 0.1844 0.3169 x8
In1 0.0000 0.5000 0.2500 x2
In2 0.1311 0.2464 0.6414 x8

***

This entry pairs a crystal structure of Np2Al12Ir7 with its theoretical X-ray diffraction stick pattern. Radiation: λ = 1.5418 Å (Cu Kα). Structure: DFT lattice parameters and positions (GGA-PBE).

Peak list (10 most intense, 2θ = 15–90°, most intense first)
30.3 deg, intensity 100.0, hkl 2 0 1
35.4 deg, intensity 72.0, hkl 2 1 1
27.5 deg, intensity 58.4, hkl 1 2 0
42.8 deg, intensity 37.6, hkl 2 2 1
44.1 deg, intensity 33.0, hkl 1 3 1
28.4 deg, intensity 30.8, hkl 1 1 1
44.5 deg, intensity 30.5, hkl 0 0 2
36.3 deg, intensity 29.1, hkl 2 2 0
48.7 deg, intensity 26.4, hkl 4 1 0
51.6 deg, intensity 24.6, hkl 2 3 1

Atomic structure:
Cell: 9.8918 9.8918 4.0750 Å, 90.00 90.00 120.00°
Space group P-6 (No. 174)
Inequivalent atoms, fractional coordinates:
Np1 0.0000 0.0000 0.0000 x1
Np2 0.3333 0.6667 0.5000 x1
Al1 0.0183 0.7265 0.5000 x3
Al2 0.1540 0.3900 0.0000 x3
Al3 0.3764 0.1762 0.0000 x3
Al4 0.5371 0.1341 0.5000 x3
Ir1 0.0257 0.5598 0.0000 x3
Ir2 0.2367 0.0093 0.5000 x3
Ir3 0.6667 0.3333 0.0000 x1

***

This entry pairs a crystal structure of Ho3Ag3Rh2 with its theoretical X-ray diffraction stick pattern. Radiation: λ = 1.5418 Å (Cu Kα). Structure: DFT lattice parameters and positions (GGA-PBE).

Peak list (10 most intense, 2θ = 15–90°, most intense first)
37.6 deg, intensity 100.0, hkl 2 1 0
34.7 deg, intensity 77.7, hkl 1 1 1
58.3 deg, intensity 23.9, hkl 3 1 1
64.1 deg, intensity 23.1, hkl 2 1 2
49.9 deg, intensity 17.5, hkl 0 0 2
73.3 deg, intensity 14.1, hkl 4 1 1
75.0 deg, intensity 11.9, hkl 5 0 0
52.1 deg, intensity 11.7, hkl 3 1 0
69.7 deg, intensity 11.7, hkl 3 2 1
28.2 deg, intensity 11.1, hkl 1 0 1

Atomic structure:
Cell: 7.3064 7.3064 3.6599 Å, 90.00 90.00 120.00°
Space group P-62m (No. 189)
Inequivalent atoms, fractional coordinates:
Ho1 0.0000 0.5857 0.0000 x3
Ag1 0.0000 0.2267 0.5000 x3
Rh1 0.3333 0.6667 0.5000 x2

***

This entry pairs a crystal structure of Ho4PaP5 with its theoretical X-ray diffraction stick pattern. Radiation: λ = 1.5418 Å (Cu Kα). Structure: DFT lattice parameters and positions (GGA-PBE).

Peak list (10 most intense, 2θ = 15–90°, most intense first)
31.8 deg, intensity 100.0, hkl 3 1 0
27.5 deg, intensity 94.0, hkl 1 2 1
45.6 deg, intensity 73.4, hkl 3 1 2
54.1 deg, intensity 45.9, hkl 5 0 1
75.6 deg, intensity 33.2, hkl 3 1 4
56.7 deg, intensity 25.6, hkl 2 4 2
84.4 deg, intensity 25.4, hkl 2 4 4
73.4 deg, intensity 18.7, hkl 5 0 3
66.5 deg, intensity 12.0, hkl 0 0 4
18.7 deg, intensity 2.0, hkl 1 0 1

Atomic structure:
Cell: 8.8903 8.8903 5.6273 Å, 90.00 90.00 90.00°
Space group I4/m (No. 87)
Inequivalent atoms, fractional coordinates:
Ho1 0.0992 0.6979 0.0000 x8
Pa1 0.0000 0.0000 0.5000 x2
P1 0.0000 0.0000 0.0000 x2
P2 0.0981 0.7044 0.5000 x8

***

This entry pairs a crystal structure of Mn5P with its theoretical X-ray diffraction stick pattern. Radiation: λ = 1.5418 Å (Cu Kα). Structure: DFT lattice parameters and positions (GGA-PBE).

Peak list (10 most intense, 2θ = 15–90°, most intense first)
48.1 deg, intensity 100.0, hkl 1 1 1
44.6 deg, intensity 28.1, hkl 0 0 2
42.2 deg, intensity 25.5, hkl 1 1 0
84.7 deg, intensity 16.9, hkl 1 1 3
77.2 deg, intensity 14.3, hkl 3 0 0
63.1 deg, intensity 13.9, hkl 1 1 2
32.7 deg, intensity 4.1, hkl 1 0 1
24.0 deg, intensity 1.8, hkl 1 0 0
21.9 deg, intensity 1.2, hkl 0 0 1
49.2 deg, intensity 0.8, hkl 2 0 0

Atomic structure:
Cell: 4.2803 4.2803 4.0619 Å, 90.00 90.00 120.00°
Space group P-62m (No. 189)
Inequivalent atoms, fractional coordinates:
Mn1 0.0000 0.6750 0.0000 x3
Mn2 0.3333 0.6667 0.5000 x2
P1 0.0000 0.0000 0.5000 x1

***

This entry pairs a crystal structure of ReIN2 with its theoretical X-ray diffraction stick pattern. Radiation: λ = 1.5418 Å (Cu Kα). Structure: DFT lattice parameters and positions (GGA-PBE).

Peak list (10 most intense, 2θ = 15–90°, most intense first)
29.7 deg, intensity 100.0, hkl 2 2 0
52.7 deg, intensity 40.4, hkl 4 2 2
85.3 deg, intensity 20.9, hkl 6 4 2
69.9 deg, intensity 17.4, hkl 6 2 0
42.5 deg, intensity 16.0, hkl 4 0 0
61.6 deg, intensity 14.3, hkl 4 4 0
18.0 deg, intensity 7.1, hkl 1 1 1
77.7 deg, intensity 3.8, hkl 4 4 4
46.5 deg, intensity 1.8, hkl 3 3 1
64.8 deg, intensity 1.3, hkl 5 3 1

Atomic structure:
Cell: 8.5127 8.5127 8.5127 Å, 90.00 90.00 90.00°
Space group Fd-3m (No. 227, origin choice 2)
Inequivalent atoms, fractional coordinates:
Re1 0.1250 0.1250 0.1250 x8
I1 0.1250 0.1250 0.6250 x8
N1 0.0000 0.0000 0.0000 x16

***

This entry pairs a crystal structure of TbHoTm2 with its theoretical X-ray diffraction stick pattern. Radiation: λ = 1.5418 Å (Cu Kα). Structure: DFT lattice parameters and positions (GGA-PBE).

Peak list (10 most intense, 2θ = 15–90°, most intense first)
30.8 deg, intensity 100.0, hkl 2 0 2
38.0 deg, intensity 68.0, hkl 2 2 -1
27.3 deg, intensity 59.0, hkl 0 2 1
36.1 deg, intensity 49.0, hkl 0 2 3
33.1 deg, intensity 38.4, hkl 0 0 4
62.9 deg, intensity 26.3, hkl 2 4 2
45.0 deg, intensity 19.8, hkl 2 2 3
66.0 deg, intensity 17.0, hkl 4 2 -3
56.9 deg, intensity 15.6, hkl 2 2 -5
56.9 deg, intensity 15.6, hkl 2 2 5

Atomic structure:
Cell: 6.8785 6.8652 10.8361 Å, 90.00 90.03 90.00°
Space group P2/c (No. 13)
Inequivalent atoms, fractional coordinates:
Tb1 0.1258 0.1249 0.3871 x4
Ho1 0.3752 0.3751 0.6130 x4
Tm1 0.1245 0.3755 0.8882 x4
Tm2 0.3753 0.1253 0.1118 x4

***

This entry pairs a crystal structure of DyY6Er8 with its theoretical X-ray diffraction stick pattern. Radiation: λ = 1.5418 Å (Cu Kα). Structure: DFT lattice parameters and positions (GGA-PBE).

Peak list (10 most intense, 2θ = 15–90°, most intense first)
33.0 deg, intensity 100.0, hkl 3 0 0
33.7 deg, intensity 97.9, hkl 1 1 2
32.2 deg, intensity 78.5, hkl 3 -1 1
25.9 deg, intensity 45.7, hkl 0 2 1
35.9 deg, intensity 34.4, hkl 0 3 1
23.4 deg, intensity 27.9, hkl 1 1 1
50.9 deg, intensity 22.5, hkl 3 2 1
53.5 deg, intensity 21.1, hkl 4 1 1
29.8 deg, intensity 20.0, hkl 0 1 2
47.9 deg, intensity 19.5, hkl 4 -2 2

Atomic structure:
Cell: 9.3985 9.3985 6.4549 Å, 90.00 90.00 120.00°
Space group P-3 (No. 147)
Inequivalent atoms, fractional coordinates:
Dy1 0.0000 0.0000 0.0000 x1
Y1 0.1005 0.4177 0.0909 x6
Er1 0.0205 0.6874 0.4046 x6
Er2 0.3333 0.6667 0.6516 x2

***

This entry pairs a crystal structure of ErAgSe2 with its theoretical X-ray diffraction stick pattern. Radiation: λ = 1.5418 Å (Cu Kα). Structure: DFT lattice parameters and positions (GGA-PBE).

Peak list (10 most intense, 2θ = 15–90°, most intense first)
31.6 deg, intensity 100.0, hkl 2 0 0
43.5 deg, intensity 76.4, hkl 2 0 4
29.2 deg, intensity 57.5, hkl 0 0 4
54.8 deg, intensity 38.4, hkl 2 2 4
45.3 deg, intensity 36.5, hkl 2 2 0
82.4 deg, intensity 26.3, hkl 4 2 4
26.6 deg, intensity 23.8, hkl 1 1 2
69.9 deg, intensity 19.6, hkl 2 0 8
74.9 deg, intensity 16.1, hkl 4 2 0
73.7 deg, intensity 15.7, hkl 4 0 4

Atomic structure:
Cell: 5.6669 5.6669 12.2389 Å, 90.00 90.00 90.00°
Space group I4_1/amd (No. 141, origin choice 2)
Inequivalent atoms, fractional coordinates:
Er1 0.0000 0.2500 0.3750 x4
Ag1 0.0000 0.2500 0.8750 x4
Se1 0.0000 0.2500 0.1421 x8

***

This entry pairs a crystal structure of SrIn2Br8 with its theoretical X-ray diffraction stick pattern. Radiation: λ = 1.5418 Å (Cu Kα). Structure: DFT lattice parameters and positions (GGA-PBE).

Peak list (10 most intense, 2θ = 15–90°, most intense first)
16.2 deg, intensity 100.0, hkl 3 1 -1
15.5 deg, intensity 88.5, hkl 1 1 1
19.1 deg, intensity 72.4, hkl 0 0 2
26.1 deg, intensity 68.7, hkl 4 2 -2
21.9 deg, intensity 57.0, hkl 4 0 0
43.9 deg, intensity 44.5, hkl 6 4 -2
23.1 deg, intensity 40.2, hkl 2 2 -2
48.9 deg, intensity 34.6, hkl 2 2 4
34.9 deg, intensity 33.6, hkl 5 1 -4
28.7 deg, intensity 33.5, hkl 5 1 0

Atomic structure:
Cell: 18.9627 10.9230 10.8688 Å, 90.00 121.03 90.00°
Space group C2/c (No. 15)
Inequivalent atoms, fractional coordinates:
Sr1 0.0000 0.0254 0.2500 x4
In1 0.0980 0.2601 0.0579 x8
Br1 0.0496 0.1622 0.5740 x8
Br2 0.1087 0.4741 0.9952 x8
Br3 0.1370 0.2204 0.3181 x8
Br4 0.1690 0.0993 0.9867 x8

***

This entry pairs a crystal structure of Li2Sm2ErTl2 with its theoretical X-ray diffraction stick pattern. Radiation: λ = 1.5418 Å (Cu Kα). Structure: DFT lattice parameters and positions (GGA-PBE).

Peak list (10 most intense, 2θ = 15–90°, most intense first)
37.2 deg, intensity 100.0, hkl 1 1 0
34.0 deg, intensity 96.2, hkl 0 1 8
31.4 deg, intensity 83.1, hkl 1 0 7
21.5 deg, intensity 57.7, hkl 1 0 1
64.2 deg, intensity 34.6, hkl 1 1 15
51.3 deg, intensity 30.3, hkl 2 0 8
65.1 deg, intensity 29.7, hkl 1 2 8
22.2 deg, intensity 24.9, hkl 0 1 2
49.5 deg, intensity 23.7, hkl 0 2 7
63.5 deg, intensity 22.5, hkl 2 1 7

Atomic structure:
Cell: 4.8290 4.8290 27.2242 Å, 90.00 90.00 120.00°
Space group R-3m (No. 166, hexagonal axes)
Inequivalent atoms, fractional coordinates:
Li1 0.0000 0.0000 0.1089 x6
Sm1 0.0000 0.0000 0.3740 x6
Er1 0.0000 0.0000 0.5000 x3
Tl1 0.0000 0.0000 0.2346 x6

***

This entry pairs a crystal structure of RbPuIn2O8 with its theoretical X-ray diffraction stick pattern. Radiation: λ = 1.5418 Å (Cu Kα). Structure: DFT lattice parameters and positions (GGA-PBE).

Peak list (10 most intense, 2θ = 15–90°, most intense first)
24.5 deg, intensity 100.0, hkl 1 -1 0
25.2 deg, intensity 73.4, hkl 1 1 0
27.5 deg, intensity 38.1, hkl 0 1 -2
28.3 deg, intensity 35.6, hkl 1 0 -2
28.7 deg, intensity 32.4, hkl 1 0 2
29.3 deg, intensity 31.6, hkl 0 1 2
35.6 deg, intensity 24.4, hkl 2 0 0
35.2 deg, intensity 23.6, hkl 0 2 0
57.7 deg, intensity 18.0, hkl 0 3 -2
45.5 deg, intensity 18.0, hkl 2 -1 2

Atomic structure:
Cell: 5.0480 5.1045 8.0005 Å, 93.55 90.84 91.48°
Space group P-1 (No. 2)
Inequivalent atoms, fractional coordinates:
Rb1 0.0000 0.0000 0.0000 x1
Pu1 0.0000 0.0000 0.5000 x1
In1 0.4965 0.5069 0.6932 x2
O1 0.1914 0.1717 0.3288 x2
O2 0.1912 0.1998 0.6879 x2
O3 0.2960 0.6978 0.5006 x2
O4 0.4489 0.3941 0.0514 x2